CaSn2Ge2Au7: computed X-ray powder pattern (Cu Kα X-rays), based on a GGA-PBE-relaxed structure.

Crystal structure
```
12
Lattice="2.963 -2.949 0.000 2.963 2.949 0.000 -2.941 0.000 15.919" Properties=species:S:1:pos:R:3 pbc="T T T"
Ca 0.000 0.000 0.000
Sn 0.008 0.000 6.750
Sn 2.976 0.000 9.169
Ge 0.023 0.000 12.081
Ge 2.962 0.000 3.839
Au 1.480 1.474 2.272
Au 0.001 0.000 9.537
Au 1.504 1.474 13.647
Au 2.963 0.000 0.000
Au 1.480 -1.474 2.272
Au 2.983 0.000 6.382
Au 1.504 -1.474 13.647
```

Top 10 peaks for 5° ≤ 2θ ≤ 70°, by angle:
2θ/deg  d/Å  I_rel
5.55  15.919  68
21.44  4.145  39
22.34  3.980  42
30.69  2.913  46
30.84  2.899  46
34.68  2.587  56
34.81  2.578  56
41.64  2.169  36
43.29  2.090  100
60.13  1.539  42

---

Ca3ZnGe2Au6: computed X-ray powder pattern (Cu Kα X-rays), based on a GGA-PBE-relaxed structure.

Crystal structure
```
12
Lattice="6.050 0.000 0.000 -3.025 5.239 0.000 0.000 0.000 8.559" Properties=species:S:1:pos:R:3 pbc="T T T"
Ca 0.000 0.000 0.000
Ca 0.000 3.493 5.342
Ca 3.025 1.746 3.217
Zn 0.000 0.000 4.280
Ge 0.000 3.493 0.321
Ge 3.025 1.746 8.239
Au 0.000 1.804 2.419
Au -1.462 4.337 2.419
Au 1.563 0.902 6.140
Au 1.462 4.337 2.419
Au 4.487 0.902 6.140
Au 3.025 3.435 6.140
```

Top 10 peaks for 5° ≤ 2θ ≤ 70°, by angle:
2θ/deg  d/Å  I_rel
19.87  4.469  48
20.75  4.280  40
31.35  2.853  17
34.23  2.620  18
35.85  2.505  100
36.37  2.470  32
40.37  2.234  41
47.10  1.930  47
55.44  1.657  13
61.29  1.512  22

---

Ca2H5Au2: computed X-ray powder pattern (Cu Kα X-rays), based on a GGA-PBE-relaxed structure.

Crystal structure
```
9
Lattice="6.160 -1.895 0.000 6.160 1.895 0.000 -0.607 0.000 4.959" Properties=species:S:1:pos:R:3 pbc="T T T"
Ca 1.632 0.000 1.144
Ca 10.081 0.000 3.815
H 3.818 0.000 0.112
H 3.539 0.000 2.622
H 6.160 0.000 0.000
H 8.174 0.000 2.337
H 7.895 0.000 4.846
Au 4.959 0.000 1.445
Au 6.754 0.000 3.514
```

Top 10 peaks for 5° ≤ 2θ ≤ 70°, by angle:
2θ/deg  d/Å  I_rel
14.49  6.114  58
21.66  4.103  69
24.59  3.620  100
30.04  2.975  88
35.74  2.512  75
36.23  2.479  38
36.35  2.472  37
38.46  2.341  68
44.10  2.053  47
61.64  1.505  32

---

CaH3Au: computed X-ray powder pattern (Cu Kα X-rays), based on a GGA-PBE-relaxed structure.

Crystal structure
```
5
Lattice="3.850 0.000 0.000 0.000 3.850 0.000 0.000 0.000 3.850" Properties=species:S:1:pos:R:3 pbc="T T T"
Ca 0.000 0.000 0.000
H 0.000 1.925 1.925
H 1.925 0.000 1.925
H 1.925 1.925 0.000
Au 1.925 1.925 1.925
```

Top 7 peaks for 5° ≤ 2θ ≤ 70°, by angle:
2θ/deg  d/Å  I_rel
23.10  3.850  51
32.90  2.722  100
40.59  2.223  16
47.22  1.925  19
53.20  1.722  23
58.74  1.572  38
68.99  1.361  12

---

Ca2NiH6Au: computed X-ray powder pattern (Cu Kα X-rays), based on a GGA-PBE-relaxed structure.

Crystal structure
```
10
Lattice="5.004 0.000 0.000 -2.502 4.334 0.000 0.000 0.000 5.027" Properties=species:S:1:pos:R:3 pbc="T T T"
Ca 0.000 2.889 1.086
Ca 2.502 1.445 3.940
Ni 0.000 0.000 0.000
H 0.000 1.424 4.072
H -1.269 3.622 4.072
H 1.233 0.712 0.954
H 1.269 3.622 4.072
H 3.771 0.712 0.954
H 2.502 2.910 0.954
Au 0.000 0.000 2.513
```

Top 10 peaks for 5° ≤ 2θ ≤ 70°, by angle:
2θ/deg  d/Å  I_rel
20.49  4.334  100
27.17  3.282  51
35.89  2.502  60
41.54  2.174  61
41.68  2.167  16
45.59  1.990  14
51.54  1.773  13
56.04  1.641  26
56.15  1.638  14
68.36  1.372  27

---

CaTlHAu: computed X-ray powder pattern (Cu Kα X-rays), based on a GGA-PBE-relaxed structure.

Crystal structure
```
4
Lattice="5.057 0.000 0.000 0.000 3.659 0.000 -2.403 0.000 4.454" Properties=species:S:1:pos:R:3 pbc="T T T"
Ca 0.000 0.000 0.000
Tl -0.060 1.830 3.051
H 3.868 1.830 0.702
Au 2.329 1.830 1.625
```

Top 10 peaks for 5° ≤ 2θ ≤ 70°, by angle:
2θ/deg  d/Å  I_rel
19.94  4.452  62
24.32  3.659  88
31.65  2.827  94
31.98  2.799  32
34.60  2.592  56
35.51  2.528  100
42.75  2.115  41
43.51  2.080  79
62.63  1.483  39
68.19  1.375  22

---

CaTlHAu: computed X-ray powder pattern (Cu Kα X-rays), based on a GGA-PBE-relaxed structure.

Crystal structure
```
4
Lattice="3.506 0.000 0.000 -0.001 3.933 0.000 -1.741 -1.959 6.182" Properties=species:S:1:pos:R:3 pbc="T T T"
Ca 0.000 0.000 0.000
Tl 0.003 0.005 3.525
H 0.011 1.973 4.820
Au 1.752 1.968 1.578
```

Top 10 peaks for 5° ≤ 2θ ≤ 70°, by angle:
2θ/deg  d/Å  I_rel
14.33  6.182  55
23.74  3.748  23
26.42  3.373  19
31.44  2.845  100
33.56  2.671  84
34.26  2.617  84
37.31  2.410  24
56.84  1.620  24
58.26  1.584  35
62.18  1.493  22

---

CaTlHAu: computed X-ray powder pattern (Cu Kα X-rays), based on a GGA-PBE-relaxed structure.

Crystal structure
```
4
Lattice="4.959 0.000 0.000 0.000 3.612 0.000 -0.914 0.000 5.227" Properties=species:S:1:pos:R:3 pbc="T T T"
Ca 0.000 0.000 0.000
Tl 1.038 1.806 2.747
H 3.985 1.806 1.239
Au 2.505 1.806 0.271
```

Top 10 peaks for 5° ≤ 2θ ≤ 70°, by angle:
2θ/deg  d/Å  I_rel
18.16  4.885  100
24.64  3.612  81
27.05  3.297  34
30.78  2.904  91
33.73  2.657  36
34.31  2.614  51
36.91  2.435  37
37.88  2.375  37
42.70  2.118  39
44.18  2.050  39

---

Ca6HgAu5: computed X-ray powder pattern (Cu Kα X-rays), based on a GGA-PBE-relaxed structure.

Crystal structure
```
12
Lattice="2.584 -7.760 0.000 2.584 7.760 0.000 0.000 0.000 7.355" Properties=species:S:1:pos:R:3 pbc="T T T"
Ca 0.000 0.000 1.788
Ca 0.000 0.000 5.566
Ca 2.584 2.630 1.824
Ca 2.584 2.630 5.530
Ca 2.584 -2.630 1.824
Ca 2.584 -2.630 5.530
Hg 2.584 0.000 3.677
Au 2.584 5.229 3.677
Au 2.584 5.181 0.000
Au 2.584 0.000 0.000
Au 2.584 -5.181 0.000
Au 2.584 -5.229 3.677
```

Top 10 peaks for 5° ≤ 2θ ≤ 70°, by angle:
2θ/deg  d/Å  I_rel
24.20  3.677  20
24.35  3.656  40
34.61  2.591  100
34.72  2.584  20
42.76  2.115  19
49.89  1.828  14
55.98  1.643  9
56.23  1.636  18
61.93  1.498  15
62.13  1.494  29

---

Ca2HgAu16: computed X-ray powder pattern (Cu Kα X-rays), based on a GGA-PBE-relaxed structure.

Crystal structure
```
19
Lattice="4.861 2.807 4.745 -4.861 2.807 4.745 0.000 -5.613 4.745" Properties=species:S:1:pos:R:3 pbc="T T T"
Ca 0.000 0.000 0.000
Ca 0.000 0.000 4.401
Hg 0.000 0.000 10.511
Au -2.441 -1.409 6.839
Au 0.000 -2.830 6.743
Au -2.451 1.415 6.743
Au -1.572 -2.704 9.210
Au -3.128 -0.010 9.210
Au -2.504 -1.446 11.688
Au 0.000 0.000 7.636
Au 2.441 -1.409 6.839
Au 1.572 -2.704 9.210
Au 0.000 2.818 6.839
Au -1.556 2.714 9.210
Au 2.451 1.415 6.743
Au 3.128 -0.010 9.210
Au 1.556 2.714 9.210
Au 2.504 -1.446 11.688
Au 0.000 2.892 11.688
```

Top 10 peaks for 5° ≤ 2θ ≤ 70°, by angle:
2θ/deg  d/Å  I_rel
18.25  4.861  33
31.89  2.807  20
36.98  2.431  34
37.22  2.416  70
37.92  2.372  32
41.75  2.163  100
42.39  2.132  33
64.10  1.453  20
66.65  1.403  26
68.04  1.378  20

---

CaHgAu3: computed X-ray powder pattern (Cu Kα X-rays), based on a GGA-PBE-relaxed structure.

Crystal structure
```
20
Lattice="10.515 0.000 0.000 0.000 4.870 0.000 0.000 0.000 8.831" Properties=species:S:1:pos:R:3 pbc="T T T"
Ca 2.126 1.218 0.363
Ca 3.132 3.653 4.779
Ca 7.383 1.218 4.052
Ca 8.390 3.653 8.468
Hg 0.920 1.218 3.499
Hg 4.338 3.653 7.914
Hg 6.178 1.218 0.917
Hg 9.595 3.653 5.333
Au 0.574 3.653 1.579
Au 1.093 3.653 7.479
Au 1.955 1.218 6.169
Au 3.303 3.653 1.754
Au 4.165 1.218 3.063
Au 4.684 1.218 5.994
Au 5.831 3.653 2.837
Au 6.350 3.653 5.768
Au 7.213 1.218 7.078
Au 8.561 3.653 2.662
Au 9.423 1.218 1.352
Au 9.942 1.218 7.253
```

Top 10 peaks for 5° ≤ 2θ ≤ 70°, by angle:
2θ/deg  d/Å  I_rel
20.11  4.416  43
22.50  3.952  77
33.08  2.708  88
35.64  2.519  99
36.68  2.450  93
36.91  2.435  100
37.61  2.392  37
38.93  2.313  34
44.24  2.047  77
52.24  1.751  33

---

Ca4Hg5Au6: computed X-ray powder pattern (Cu Kα X-rays), based on a GGA-PBE-relaxed structure.

Crystal structure
```
30
Lattice="2.043 -11.601 0.000 2.043 11.601 0.000 0.000 0.000 15.256" Properties=species:S:1:pos:R:3 pbc="T T T"
Ca 2.043 10.920 7.628
Ca 2.043 10.150 11.755
Ca 2.043 8.733 4.038
Ca 2.043 7.255 14.335
Ca 2.043 -7.255 6.707
Ca 2.043 -8.733 11.666
Ca 2.043 -10.150 4.127
Ca 2.043 -10.920 0.000
Hg 2.043 7.161 9.175
Hg 2.043 4.174 9.259
Hg 2.043 4.111 4.167
Hg 2.043 3.133 14.359
Hg 2.043 0.572 10.021
Hg 2.043 -0.572 2.393
Hg 2.043 -3.133 6.731
Hg 2.043 -4.111 11.795
Hg 2.043 -4.174 1.631
Hg 2.043 -7.161 1.547
Au 2.043 9.480 1.057
Au 2.043 6.490 6.304
Au 2.043 5.246 11.882
Au 2.043 2.264 1.884
Au 2.043 1.867 6.539
Au 2.043 0.677 12.874
Au 2.043 -0.677 5.246
Au 2.043 -1.867 14.167
Au 2.043 -2.264 9.512
Au 2.043 -5.246 4.254
Au 2.043 -6.490 13.932
Au 2.043 -9.480 8.685
```

Top 10 peaks for 5° ≤ 2θ ≤ 70°, by angle:
2θ/deg  d/Å  I_rel
22.09  4.023  49
25.34  3.515  41
31.44  2.845  42
32.34  2.768  31
34.16  2.625  91
35.34  2.540  73
37.62  2.391  53
38.64  2.330  31
39.25  2.295  100
44.35  2.042  61